Computed powder X-ray diffraction pattern
Compound: Mg14AlCrO16
Radiation: copper Kα
Structure: a GGA+U-relaxed structure
Peak positions follow from Bragg's law for the DFT cell and can differ from measured ones.

Structural model:
Unit cell a=4.2630 b=8.5526 c=8.6034 alpha=90.00 beta=90.00 gamma=90.00
Positions (direct):
Mg  0.0000  0.0000  0.0000
Mg  0.0000  0.0000  0.5000
Mg  0.0000  0.2499  0.2479
Mg  0.0000  0.2499  0.7521
Mg  0.0000  0.7501  0.2479
Mg  0.0000  0.7501  0.7521
Mg  0.5000  0.0000  0.2489
Mg  0.5000  0.0000  0.7511
Mg  0.5000  0.2495  0.0000
Mg  0.5000  0.2499  0.5000
Mg  0.5000  0.5000  0.2487
Mg  0.5000  0.5000  0.7513
Mg  0.5000  0.7501  0.5000
Mg  0.5000  0.7505  0.0000
Al  0.0000  0.5000  0.5000
Cr  0.0000  0.5000  0.0000
O  0.0000  0.0000  0.2566
O  0.0000  0.0000  0.7434
O  0.0000  0.2367  0.0000
O  0.0000  0.2632  0.5000
O  0.0000  0.5000  0.2855
O  0.0000  0.5000  0.7145
O  0.0000  0.7368  0.5000
O  0.0000  0.7633  0.0000
O  0.5000  0.0000  0.0000
O  0.5000  0.0000  0.5000
O  0.5000  0.2512  0.2509
O  0.5000  0.2512  0.7491
O  0.5000  0.5000  0.0000
O  0.5000  0.5000  0.5000
O  0.5000  0.7488  0.2509
O  0.5000  0.7488  0.7491

Largest 10 diffraction maxima, in order of falling intensity, 2θ = 10–80°:
| 2theta | I_rel | hkl |
| --- | --- | --- |
| 42.27 | 100 | 0 4 0 |
| 42.41 | 100 | 2 0 0 |
| 42.01 | 99 | 0 0 4 |
| 61.42 | 56 | 2 4 0 |
| 61.22 | 55 | 2 0 4 |
| 61.11 | 55 | 0 4 4 |
| 77.21 | 50 | 2 4 4 |
| 36.35 | 43 | 1 2 2 |
| 73.05 | 10 | 1 2 6 |
| 73.42 | 9 | 1 6 2 |